No. 1
This entry pairs a crystal structure of HoBiBr6 with its calculated powder X-ray diffraction pattern. Radiation: Cu Kα (λ = 1.5418 Å). Structure: a cell relaxed with PBE.
Intensities are scaled so that the largest is 100.

Crystal structure
```
8
Lattice="3.602 -6.252 0.000 3.602 6.252 0.000 -2.473 0.000 6.636" Properties=species:S:1:pos:R:3 pbc="T T T"
Ho 0.000 0.000 0.000
Bi 3.602 2.092 0.000
Br 1.218 1.934 1.626
Br -0.190 0.097 5.014
Br 1.080 -2.021 1.622
Br 3.512 1.934 5.010
Br 4.920 0.097 1.622
Br 3.649 -2.021 5.014
```

Main lines, sorted by position (2θ from 10° to 80°):
2θ 13.34, I 71
2θ 14.92, I 34
2θ 16.69, I 25
2θ 25.10, I 45
2θ 30.48, I 54
2θ 30.69, I 100
2θ 43.50, I 37
2θ 44.10, I 36

---

No. 2
This entry pairs a crystal structure of Bi10Te10Pd with its calculated powder X-ray diffraction pattern. Radiation: Cu Kα (λ = 1.5418 Å). Structure: a cell relaxed with PBE.
Intensities are scaled so that the largest is 100.

Crystal structure
```
42
Lattice="12.418 0.000 0.000 0.000 13.582 0.000 0.000 0.000 8.815" Properties=species:S:1:pos:R:3 pbc="T T T"
Bi 0.000 0.000 2.181
Bi 0.000 0.000 6.634
Bi 1.645 5.607 2.484
Bi 1.645 5.607 6.331
Bi 1.926 8.970 4.407
Bi 2.544 7.494 0.000
Bi 3.665 0.703 0.000
Bi 4.283 2.179 4.407
Bi 4.564 12.398 2.484
Bi 4.564 12.398 6.331
Bi 6.209 6.791 2.181
Bi 6.209 6.791 6.634
Bi 7.854 1.184 2.484
Bi 7.854 1.184 6.331
Bi 8.135 11.403 4.407
Bi 8.753 12.879 0.000
Bi 9.875 6.088 0.000
Bi 10.492 4.612 4.407
Bi 10.774 7.975 2.484
Bi 10.774 7.975 6.331
Te 0.132 4.517 0.000
Te 1.496 12.020 0.000
Te 1.869 12.118 4.407
Te 2.176 2.389 2.268
Te 2.176 2.389 6.547
Te 4.033 9.180 2.268
Te 4.033 9.180 6.547
Te 4.340 5.327 4.407
Te 4.713 5.229 0.000
Te 6.077 11.308 0.000
Te 6.342 2.274 0.000
Te 7.705 8.353 0.000
Te 8.078 8.255 4.407
Te 8.385 4.402 2.268
Te 8.385 4.402 6.547
Te 10.242 11.193 2.268
Te 10.242 11.193 6.547
Te 10.549 1.464 4.407
Te 10.923 1.562 0.000
Te 12.286 9.065 0.000
Pd 0.000 6.791 4.407
Pd 6.209 0.000 4.407
```

Main lines, sorted by position (2θ from 10° to 80°):
2θ 13.04, I 28
2θ 25.18, I 25
2θ 25.64, I 100
2θ 28.09, I 26
2θ 31.78, I 59
2θ 39.65, I 44
2θ 40.95, I 36
2θ 42.30, I 38

---

No. 3
This entry pairs a crystal structure of YScGaNi with its calculated powder X-ray diffraction pattern. Radiation: Cu Kα (λ = 1.5418 Å). Structure: a cell relaxed with PBE.
Intensities are scaled so that the largest is 100.

Crystal structure
```
4
Lattice="0.000 3.317 3.317 3.317 0.000 3.317 3.317 3.317 0.000" Properties=species:S:1:pos:R:3 pbc="T T T"
Y 0.000 0.000 0.000
Sc 1.658 1.658 1.658
Ga 3.317 3.317 3.317
Ni 4.975 4.975 4.975
```

Main lines, sorted by position (2θ from 10° to 80°):
2θ 23.22, I 2
2θ 26.88, I 5
2θ 38.38, I 100
2θ 45.34, I 1
2θ 47.48, I 1
2θ 55.40, I 16
2θ 62.63, I 2
2θ 69.41, I 32

---

No. 4
This entry pairs a crystal structure of Na2HgWSe4 with its calculated powder X-ray diffraction pattern. Radiation: Cu Kα (λ = 1.5418 Å). Structure: a cell relaxed with PBE.
Intensities are scaled so that the largest is 100.

Crystal structure
```
8
Lattice="4.677 -6.062 0.000 4.677 6.062 0.000 -4.666 0.000 4.679" Properties=species:S:1:pos:R:3 pbc="T T T"
Na 0.000 0.000 0.000
Na 2.344 -3.033 2.339
Hg 2.344 3.041 2.339
W 4.677 0.005 0.000
Se -1.934 1.322 4.574
Se 0.116 -1.312 2.734
Se 6.622 1.322 0.104
Se 4.572 -1.312 1.945
```

Main lines, sorted by position (2θ from 10° to 80°):
2θ 15.26, I 77
2θ 24.03, I 100
2θ 25.83, I 16
2θ 31.12, I 22
2θ 37.68, I 18
2θ 38.49, I 24
2θ 40.36, I 44
2θ 45.89, I 29

---

No. 5
This entry pairs a crystal structure of TbPr2Sn3Pd3 with its calculated powder X-ray diffraction pattern. Radiation: Cu Kα (λ = 1.5418 Å). Structure: a cell relaxed with PBE.
Intensities are scaled so that the largest is 100.

Crystal structure
```
9
Lattice="4.117 0.000 0.000 0.000 6.610 3.825 0.000 -6.610 3.825" Properties=species:S:1:pos:R:3 pbc="T T T"
Tb 0.000 0.000 0.000
Pr 0.000 -2.721 4.709
Pr 0.000 2.721 4.709
Sn 2.058 -1.657 2.148
Sn 2.058 1.657 2.148
Sn 2.058 0.000 5.076
Pd 0.000 0.000 3.093
Pd 2.058 -4.471 3.150
Pd 2.058 4.471 3.150
```

Main lines, sorted by position (2θ from 10° to 80°):
2θ 31.96, I 100
2θ 34.79, I 95
2θ 35.91, I 51
2θ 40.92, I 33
2θ 42.28, I 25
2θ 43.99, I 28
2θ 58.03, I 26
2θ 65.52, I 22

---

No. 6
This entry pairs a crystal structure of RbTcSeS2 with its calculated powder X-ray diffraction pattern. Radiation: Cu Kα (λ = 1.5418 Å). Structure: a cell relaxed with PBE.
Intensities are scaled so that the largest is 100.

Crystal structure
```
10
Lattice="6.109 0.000 0.000 -1.597 7.337 0.000 -2.632 -3.044 6.458" Properties=species:S:1:pos:R:3 pbc="T T T"
Rb 0.315 0.035 2.269
Rb 1.565 4.257 4.189
Tc -1.711 0.876 5.977
Tc 3.591 3.417 0.481
Se -1.405 2.432 4.218
Se 3.285 1.860 2.240
S -0.435 4.233 1.339
S -0.641 -1.061 5.755
S 2.521 5.353 0.703
S 2.315 0.060 5.119
```

Main lines, sorted by position (2θ from 10° to 80°):
2θ 13.34, I 100
2θ 20.89, I 24
2θ 21.10, I 40
2θ 22.95, I 29
2θ 25.02, I 76
2θ 25.97, I 58
2θ 33.55, I 56
2θ 38.78, I 24

---

No. 7
This entry pairs a crystal structure of ZnPH5CNClO3 with its calculated powder X-ray diffraction pattern. Radiation: Cu Kα (λ = 1.5418 Å). Structure: a cell relaxed with PBE.
Intensities are scaled so that the largest is 100.

Crystal structure
```
52
Lattice="4.697 0.000 0.000 0.000 15.484 0.000 -2.378 0.000 7.711" Properties=species:S:1:pos:R:3 pbc="T T T"
Zn -0.028 2.751 1.353
Zn -1.217 4.991 5.209
Zn 3.536 10.493 2.502
Zn 2.346 12.733 6.358
P -0.063 2.509 7.069
P 1.126 5.233 3.213
P 1.192 10.251 4.498
P 2.382 12.975 0.642
H -1.364 10.041 6.031
H -0.175 13.184 2.175
H -1.107 8.564 6.789
H 0.082 14.662 2.933
H -0.324 8.348 4.550
H 0.866 14.877 0.694
H 0.142 0.433 5.842
H 1.331 7.309 1.987
H -0.085 9.857 7.110
H 1.104 13.369 3.254
H 1.214 2.115 4.457
H 2.404 5.627 0.602
H 0.988 8.175 5.725
H 2.177 15.050 1.869
H 1.453 0.606 7.017
H 2.642 7.136 3.162
H 2.236 0.822 4.778
H 3.426 6.920 0.922
H 2.494 2.300 5.536
H 3.683 5.442 1.680
C 0.278 8.889 5.287
C 1.467 14.336 1.431
C 0.851 1.147 6.280
C 2.041 6.594 2.424
N -0.617 9.378 6.364
N 0.572 13.848 2.508
N 1.747 1.636 5.203
N 2.936 6.106 1.347
Cl -0.640 1.292 2.934
Cl -1.829 6.450 6.789
Cl 4.148 9.034 0.922
Cl 2.959 14.192 4.778
O -0.754 3.229 5.894
O 0.436 4.513 2.039
O 0.209 11.168 3.766
O -0.980 12.057 7.622
O 1.298 1.803 0.263
O 0.109 5.938 4.118
O 2.210 9.545 3.593
O 1.021 13.680 7.449
O 3.299 3.426 0.090
O 2.110 4.316 3.945
O 1.883 10.970 5.673
O 3.072 12.255 1.817
```

Main lines, sorted by position (2θ from 10° to 80°):
2θ 11.43, I 90
2θ 20.71, I 89
2θ 22.87, I 43
2θ 22.99, I 33
2θ 26.29, I 57
2θ 26.39, I 36
2θ 28.24, I 100
2θ 31.06, I 75

---

No. 8
This entry pairs a crystal structure of Sm2Er2CF5 with its calculated powder X-ray diffraction pattern. Radiation: Cu Kα (λ = 1.5418 Å). Structure: a cell relaxed with PBE.
Intensities are scaled so that the largest is 100.

Crystal structure
```
10
Lattice="7.413 -1.752 0.000 7.413 1.752 0.000 -2.314 0.000 6.674" Properties=species:S:1:pos:R:3 pbc="T T T"
Sm -0.592 0.000 1.732
Sm 13.105 0.000 4.942
Er 4.106 0.000 2.517
Er 8.406 0.000 4.158
C 6.256 0.000 3.337
F 1.711 0.000 2.755
F 0.757 0.000 5.541
F 7.413 0.000 0.000
F 11.755 0.000 1.133
F 10.801 0.000 3.919
```

Main lines, sorted by position (2θ from 10° to 80°):
2θ 13.27, I 84
2θ 21.18, I 45
2θ 30.35, I 39
2θ 31.93, I 82
2θ 33.31, I 35
2θ 36.19, I 100
2θ 38.56, I 48
2θ 51.97, I 44